Diffraction record for SnRh2Se4. The PXRD pattern is calculated, not measured: it uses a crystal structure in Alexandria, relaxed with PBE and Cu Kα (weighted mean of Kα1 and Kα2).

Top 10 peaks for 2θ = 15–90°, in order of rising 2θ:
29.6 deg, d = 3.019 Å, I 22.2, (2 0 2)
30.1 deg, d = 2.970 Å, I 100.0, (1 2 1)
33.3 deg, d = 2.691 Å, I 25.3, (1 1 4)
37.1 deg, d = 2.424 Å, I 32.9, (1 0 5)
44.2 deg, d = 2.047 Å, I 30.4, (3 1 2)
45.0 deg, d = 2.013 Å, I 27.9, (3 0 3)
47.0 deg, d = 1.935 Å, I 27.6, (2 2 4)
50.0 deg, d = 1.826 Å, I 13.3, (2 0 6)
58.3 deg, d = 1.583 Å, I 13.9, (2 1 7)
62.6 deg, d = 1.485 Å, I 14.0, (4 2 2)

Atomic structure:
Cell lengths 6.822, 6.822, 12.966 Å; angles 90.00, 90.00, 90.00 degrees
Space group I4_1/a (No. 88, origin choice 2)
Inequivalent atoms, fractional coordinates:
Sn: 0.000 0.250 0.125 [4 per cell]
Rh: 0.000 0.000 0.500 [8 per cell]
Se: 0.151 0.445 0.331 [16 per cell]

Diffraction record for SnRh3Se5. The PXRD pattern is calculated, not measured: it uses a crystal structure in Alexandria, relaxed with PBE and Cu Kα (weighted mean of Kα1 and Kα2).

Top 10 peaks for 2θ = 15–90°, in order of rising 2θ:
21.0 deg, d = 4.223 Å, I 63.0, (2 0 -2)
22.1 deg, d = 4.016 Å, I 100.0, (0 2 0)
29.6 deg, d = 3.022 Å, I 42.0, (4 0 -1)
32.4 deg, d = 2.762 Å, I 85.1, (2 2 1)
33.6 deg, d = 2.665 Å, I 46.4, (0 0 3)
39.0 deg, d = 2.311 Å, I 63.8, (5 1 -2)
43.4 deg, d = 2.083 Å, I 55.0, (1 3 2)
47.8 deg, d = 1.903 Å, I 40.2, (4 0 2)
50.9 deg, d = 1.792 Å, I 68.2, (5 3 -2)
54.9 deg, d = 1.671 Å, I 40.1, (1 3 -4)

Atomic structure:
Cell lengths 12.156, 8.032, 8.887 Å; angles 90.00, 115.89, 90.00 degrees
Space group C2/m (No. 12)
Inequivalent atoms, fractional coordinates:
Sn: 0.128 0.000 0.332 [4 per cell]
Rh: 0.000 0.000 0.000 [2 per cell]
Rh: 0.000 0.000 0.500 [2 per cell]
Rh: 0.157 0.500 0.662 [4 per cell]
Rh: 0.179 0.500 0.153 [4 per cell]
Se: 0.000 0.306 0.000 [4 per cell]
Se: 0.054 0.500 0.346 [4 per cell]
Se: 0.174 0.194 0.638 [8 per cell]
Se: 0.221 0.000 0.032 [4 per cell]

Diffraction record for SrRh2Se. The PXRD pattern is calculated, not measured: it uses a crystal structure in Alexandria, relaxed with PBE and Cu Kα (weighted mean of Kα1 and Kα2).

Top 10 peaks for 2θ = 15–90°, in order of rising 2θ:
16.8 deg, d = 5.278 Å, I 65.8, (0 0 3)
32.7 deg, d = 2.736 Å, I 74.2, (1 0 4)
34.0 deg, d = 2.639 Å, I 22.0, (0 0 6)
37.0 deg, d = 2.429 Å, I 42.7, (0 1 5)
41.3 deg, d = 2.186 Å, I 100.0, (1 1 0)
44.9 deg, d = 2.020 Å, I 30.3, (1 1 3)
53.7 deg, d = 1.708 Å, I 17.8, (0 2 4)
54.5 deg, d = 1.683 Å, I 33.4, (1 1 6)
69.9 deg, d = 1.346 Å, I 20.3, (2 1 4)
75.3 deg, d = 1.262 Å, I 16.6, (3 0 0)

Atomic structure:
Cell lengths 4.3721, 4.3721, 15.8343 Å; angles 90.00, 90.00, 120.00 degrees
Space group R3m (No. 160, hexagonal axes)
Inequivalent atoms, fractional coordinates:
Sr: 0.0000 0.0000 0.0000 [3 per cell]
Rh: 0.0000 0.0000 0.4760 [3 per cell]
Rh: 0.0000 0.0000 0.8009 [3 per cell]
Se: 0.0000 0.0000 0.2018 [3 per cell]

Diffraction record for TcRh2Se. The PXRD pattern is calculated, not measured: it uses a crystal structure in Alexandria, relaxed with PBE and Cu Kα (weighted mean of Kα1 and Kα2).

Top 10 peaks for 2θ = 15–90°, in order of rising 2θ:
39.3 deg, d = 2.292 Å, I 100.0, (0 2 1)
40.6 deg, d = 2.223 Å, I 91.3, (2 2 0)
46.2 deg, d = 1.963 Å, I 62.3, (2 0 1)
46.9 deg, d = 1.937 Å, I 29.9, (0 4 0)
65.7 deg, d = 1.421 Å, I 10.7, (0 0 2)
68.0 deg, d = 1.379 Å, I 38.4, (2 4 1)
80.2 deg, d = 1.197 Å, I 24.1, (2 2 2)
81.9 deg, d = 1.176 Å, I 11.4, (0 6 1)
82.6 deg, d = 1.168 Å, I 22.4, (4 2 1)
82.8 deg, d = 1.166 Å, I 11.1, (2 6 0)

Atomic structure:
Cell lengths 5.428, 7.749, 2.843 Å; angles 90.00, 90.00, 90.00 degrees
Space group Cmmm (No. 65)
Inequivalent atoms, fractional coordinates:
Tc: 0.000 0.000 0.000 [2 per cell]
Rh: 0.250 0.250 0.500 [4 per cell]
Se: 0.000 0.500 0.000 [2 per cell]

Diffraction record for TcRh2Se. The PXRD pattern is calculated, not measured: it uses a crystal structure in Alexandria, relaxed with PBE and Cu Kα (weighted mean of Kα1 and Kα2).

Top 10 peaks for 2θ = 15–90°, in order of rising 2θ:
20.7 deg, d = 4.287 Å, I 1.1, (0 0 6)
39.3 deg, d = 2.295 Å, I 100.0, (1 0 4)
42.2 deg, d = 2.144 Å, I 27.1, (0 0 12)
46.5 deg, d = 1.952 Å, I 61.0, (0 1 8)
65.9 deg, d = 1.418 Å, I 21.1, (1 1 0)
69.9 deg, d = 1.345 Å, I 17.8, (1 0 16)
79.4 deg, d = 1.206 Å, I 12.3, (0 2 4)
81.4 deg, d = 1.183 Å, I 23.1, (1 1 12)
84.4 deg, d = 1.147 Å, I 10.6, (2 0 8)
85.2 deg, d = 1.139 Å, I 10.4, (0 1 20)

Atomic structure:
Cell lengths 2.8363, 2.8363, 25.7236 Å; angles 90.00, 90.00, 120.00 degrees
Space group R-3m (No. 166, hexagonal axes)
Inequivalent atoms, fractional coordinates:
Tc: 0.0000 0.0000 0.0000 [3 per cell]
Rh: 0.0000 0.0000 0.2493 [6 per cell]
Se: 0.0000 0.0000 0.5000 [3 per cell]

Diffraction record for Th5RhSe4. The PXRD pattern is calculated, not measured: it uses a crystal structure in Alexandria, relaxed with PBE and Cu Kα (weighted mean of Kα1 and Kα2).

Top 10 peaks for 2θ = 15–90°, in order of rising 2θ:
25.9 deg, d = 3.439 Å, I 37.3, (1 2 1)
30.0 deg, d = 2.979 Å, I 100.0, (0 0 2)
42.9 deg, d = 2.106 Å, I 75.3, (3 1 2)
50.8 deg, d = 1.796 Å, I 18.6, (1 2 3)
53.3 deg, d = 1.720 Å, I 26.7, (2 4 2)
62.4 deg, d = 1.488 Å, I 7.9, (6 2 0)
68.7 deg, d = 1.367 Å, I 7.9, (5 0 3)
70.6 deg, d = 1.333 Å, I 11.8, (3 1 4)
70.8 deg, d = 1.331 Å, I 21.6, (6 2 2)
78.7 deg, d = 1.216 Å, I 24.8, (2 4 4)

Atomic structure:
Cell lengths 9.413, 9.413, 5.965 Å; angles 90.00, 90.00, 90.00 degrees
Space group I4/m (No. 87)
Inequivalent atoms, fractional coordinates:
Th: 0.000 0.000 0.000 [2 per cell]
Th: 0.100 0.713 0.500 [8 per cell]
Rh: 0.000 0.000 0.500 [2 per cell]
Se: 0.094 0.695 0.000 [8 per cell]

Diffraction record for TiRhSe2. The PXRD pattern is calculated, not measured: it uses a crystal structure in Alexandria, relaxed with PBE and Cu Kα (weighted mean of Kα1 and Kα2).

Top 10 peaks for 2θ = 15–90°, in order of rising 2θ:
30.5 deg, d = 2.930 Å, I 77.1, (0 1 2)
37.3 deg, d = 2.411 Å, I 100.0, (0 1 5)
43.9 deg, d = 2.061 Å, I 70.9, (1 0 7)
51.5 deg, d = 1.774 Å, I 56.5, (1 1 0)
56.8 deg, d = 1.621 Å, I 11.7, (0 0 12)
61.1 deg, d = 1.518 Å, I 10.3, (2 0 2)
65.3 deg, d = 1.429 Å, I 18.6, (2 0 5)
70.0 deg, d = 1.345 Å, I 20.3, (0 2 7)
80.2 deg, d = 1.197 Å, I 25.4, (1 1 12)
87.7 deg, d = 1.113 Å, I 16.9, (1 2 5)

Atomic structure:
Cell lengths 3.5481, 3.5481, 19.4533 Å; angles 90.00, 90.00, 120.00 degrees
Space group R3m (No. 160, hexagonal axes)
Inequivalent atoms, fractional coordinates:
Ti: 0.0000 0.0000 0.0000 [3 per cell]
Rh: 0.0000 0.0000 0.8469 [3 per cell]
Se: 0.0000 0.0000 0.2531 [3 per cell]
Se: 0.0000 0.0000 0.4197 [3 per cell]

Diffraction record for Tl2RhSe. The PXRD pattern is calculated, not measured: it uses a crystal structure in Alexandria, relaxed with PBE and Cu Kα (weighted mean of Kα1 and Kα2).

Top 10 peaks for 2θ = 15–90°, in order of rising 2θ:
28.4 deg, d = 3.143 Å, I 67.1, (1 0 1)
32.0 deg, d = 2.799 Å, I 36.8, (0 0 3)
34.0 deg, d = 2.637 Å, I 100.0, (1 0 2)
37.5 deg, d = 2.397 Å, I 65.3, (1 1 0)
50.1 deg, d = 1.821 Å, I 42.4, (1 1 3)
54.1 deg, d = 1.695 Å, I 22.9, (2 0 0)
61.6 deg, d = 1.505 Å, I 22.4, (1 0 5)
64.2 deg, d = 1.450 Å, I 20.2, (2 0 3)
65.5 deg, d = 1.426 Å, I 30.4, (2 1 2)
86.5 deg, d = 1.125 Å, I 18.0, (2 1 5)

Atomic structure:
Cell lengths 3.390, 3.390, 8.398 Å; angles 90.00, 90.00, 90.00 degrees
Space group P4mm (No. 99)
Inequivalent atoms, fractional coordinates:
Tl: 0.000 0.000 0.000 [1 per cell]
Tl: 0.500 0.500 0.341 [1 per cell]
Rh: 0.000 0.000 0.610 [1 per cell]
Se: 0.500 0.500 0.712 [1 per cell]